1.
Structure and calculated powder diffraction line list of Rb4MgTi2Cu4S8 (a cell relaxed with GGA-PBE; Cu Kα, 1.54184 Å).
Kinematic intensities with the Lorentz-polarization factor, no thermal factor.

Structure:
Lattice parameters (Å, degrees): 8.0146 8.0182 13.6902 90.00 90.08 90.00
Space group Cm (No. 8)
Inequivalent atoms, fractional coordinates:
1 Rb 0.0000 0.0000 0.0000
2 Rb 0.0113 0.5000 0.0020
3 Rb 0.2571 0.2557 0.4823
4 Mg 0.2484 0.5000 0.7411
5 Ti 0.2574 0.0000 0.2415
6 Ti 0.2616 0.0000 0.7427
7 Cu 0.0042 0.2470 0.7445
8 Cu 0.0071 0.2497 0.2415
9 S 0.0020 0.5000 0.6355
10 S 0.0076 0.0000 0.6439
11 S 0.0204 0.0000 0.3351
12 S 0.2491 0.2490 0.8442
13 S 0.2569 0.2375 0.1482
14 S 0.4951 0.0000 0.3346

Main lines, by angle (2θ = 5–70°):
2θ (°)	I (rel.)	(hkl)
12.93	13	0 0 2
23.12	18	2 0 -1
25.76	10	2 0 -2
26.03	27	0 0 4
29.67	100	0 2 3
34.24	81	2 2 -2
39.87	12	2 0 -5
45.25	41	0 4 0
51.41	54	2 2 6
52.95	15	4 0 4
55.04	31	4 2 -3
65.91	12	4 4 0



2.
Structure and calculated powder diffraction line list of Rb4MgTi2Cu4S8 (a cell relaxed with GGA-PBE; Cu Kα, 1.54184 Å).
Kinematic intensities with the Lorentz-polarization factor, no thermal factor.

Structure:
Lattice parameters (Å, degrees): 5.6594 5.6594 13.6559 90.00 90.00 90.00
Space group P-42m (No. 111)
Inequivalent atoms, fractional coordinates:
1 Rb 0.2452 0.2452 0.2408
2 Mg 0.0000 0.0000 0.5000
3 Ti 0.5000 0.5000 0.0000
4 Ti 0.5000 0.5000 0.5000
5 Cu 0.0000 0.5000 0.0000
6 Cu 0.0000 0.5000 0.5000
7 S 0.2514 0.2514 0.6025
8 S 0.2621 0.2621 0.9065

Main lines, by angle (2θ = 5–70°):
2θ (°)	I (rel.)	(hkl)
12.97	12	0 0 2
23.16	18	1 1 1
25.80	10	1 1 2
26.10	27	0 0 4
29.73	100	1 1 3
34.30	81	2 0 2
39.97	12	1 1 5
45.32	41	2 2 0
51.53	54	2 0 6
53.05	15	2 2 4
55.14	31	3 1 3
66.03	13	4 0 0



3.
Structure and calculated powder diffraction line list of Rb4MgTi2Cu4S8 (a cell relaxed with GGA-PBE; Cu Kα, 1.54184 Å).
Kinematic intensities with the Lorentz-polarization factor, no thermal factor.

Structure:
Lattice parameters (Å, degrees): 5.7879 13.4053 5.9128 90.00 96.15 90.00
Space group P2/m (No. 10)
Inequivalent atoms, fractional coordinates:
1 Rb 0.1600 0.0000 0.3117
2 Rb 0.2402 0.5000 0.7589
3 Mg 0.5000 0.0000 0.0000
4 Ti 0.5000 0.2541 0.5000
5 Cu 0.0000 0.2548 0.5000
6 Cu 0.5000 0.2548 0.0000
7 S 0.2515 0.3440 0.2544
8 S 0.2853 0.1554 0.7273

Main lines, by angle (2θ = 5–70°):
2θ (°)	I (rel.)	(hkl)
20.37	44	1 0 -1
23.71	19	1 1 1
26.60	48	0 4 0
28.63	63	1 3 -1
30.39	100	1 3 1
33.28	53	0 2 2
33.80	27	1 4 -1
33.90	42	2 2 0
41.50	26	2 0 -2
46.47	34	2 0 2
51.37	38	0 6 2
51.82	42	2 6 0